(1)
Diffraction record for Pm2Y4Th. The powder XRD pattern is computed, not measured: it uses a DFT-relaxed cell (PBE, Alexandria) and Cu Kα X-rays.

Peak list (6 most intense, 10° ≤ 2θ ≤ 90°, low angle first)
two_theta	I/Imax
29.3	70
29.7	92
31.0	73
34.3	100
51.0	62
60.1	69

Structural model:
Cell: 21.1583 21.1583 21.1583 Å, 9.71 9.71 9.71°
Positions (direct):
Pm 0.2351 0.2351 0.2351
Pm 0.7649 0.7649 0.7649
Y 0.1435 0.1435 0.1435
Y 0.2895 0.2895 0.2895
Y 0.7105 0.7105 0.7105
Y 0.8565 0.8565 0.8565
Th 0.0000 0.0000 0.0000

(2)
Diffraction record for Mn4InIr. The powder XRD pattern is computed, not measured: it uses a DFT-relaxed cell (PBE, Alexandria) and Cu Kα X-rays.

Peak list (6 most intense, 10° ≤ 2θ ≤ 90°, low angle first)
two_theta	I/Imax
22.5	22
37.2	68
43.9	100
67.1	24
71.8	30
79.3	21

Structural model:
Cell: 4.8332 4.8332 4.8332 Å, 60.00 60.00 60.00°
Positions (direct):
Mn 0.3759 0.3759 0.3759
Mn 0.3759 0.3759 0.8723
Mn 0.3759 0.8723 0.3759
Mn 0.8723 0.3759 0.3759
In 0.0000 0.0000 0.0000
Ir 0.7500 0.7500 0.7500

(3)
Diffraction record for BeIn2Br. The powder XRD pattern is computed, not measured: it uses a DFT-relaxed cell (PBE, Alexandria) and Cu Kα X-rays.

Peak list (6 most intense, 10° ≤ 2θ ≤ 90°, low angle first)
two_theta	I/Imax
27.1	43
28.1	69
29.5	100
39.6	31
42.7	70
42.8	31

Structural model:
Cell: 10.1301 10.1301 3.4122 Å, 99.48 99.48 18.28°
Positions (direct):
Be 0.0000 0.0000 0.0000
In 0.2802 0.2802 0.7874
In 0.4153 0.4153 0.4188
Br 0.5754 0.5754 0.0749

(4)
Diffraction record for SrTiS4. The powder XRD pattern is computed, not measured: it uses a DFT-relaxed cell (PBE, Alexandria) and Cu Kα X-rays.

Peak list (6 most intense, 10° ≤ 2θ ≤ 90°, low angle first)
two_theta	I/Imax
18.2	49
19.2	100
23.5	43
28.3	68
31.7	43
36.6	81

Structural model:
Cell: 7.5811 7.5811 6.7516 Å, 92.87 92.87 56.27°
Positions (direct):
Sr 0.1512 0.1512 0.1748
Sr 0.8488 0.8488 0.8252
Ti 0.4280 0.4280 0.7756
Ti 0.5720 0.5720 0.2244
S 0.1864 0.6593 0.5126
S 0.2664 0.2664 0.8101
S 0.2677 0.7323 0.0000
S 0.3407 0.8136 0.4874
S 0.6593 0.1864 0.5126
S 0.7323 0.2677 0.0000
S 0.7336 0.7336 0.1899
S 0.8136 0.3407 0.4874

(5)
Diffraction record for LiSn3Cl7. The powder XRD pattern is computed, not measured: it uses a DFT-relaxed cell (PBE, Alexandria) and Cu Kα X-rays.

Peak list (6 most intense, 10° ≤ 2θ ≤ 90°, low angle first)
two_theta	I/Imax
14.3	43
21.5	52
22.1	80
22.7	77
33.3	100
37.1	47

Structural model:
Cell: 8.4216 8.4216 9.6299 Å, 90.00 90.00 106.94°
Positions (direct):
Li 0.0108 0.0108 0.0000
Li 0.9892 0.9892 0.5000
Sn 0.0040 0.4156 0.2019
Sn 0.4156 0.0040 0.7981
Sn 0.4237 0.4237 0.5000
Sn 0.5763 0.5763 0.0000
Sn 0.5844 0.9960 0.2981
Sn 0.9960 0.5844 0.7019
Cl 0.0259 0.3072 0.9542
Cl 0.0661 0.9339 0.7500
Cl 0.1011 0.3360 0.5528
Cl 0.3072 0.0259 0.0458
Cl 0.3305 0.6695 0.7500
Cl 0.3360 0.1011 0.4472
Cl 0.3940 0.6060 0.2500
Cl 0.6060 0.3940 0.7500
Cl 0.6640 0.8989 0.9472
Cl 0.6695 0.3305 0.2500
Cl 0.6928 0.9741 0.5458
Cl 0.8989 0.6640 0.0528
Cl 0.9339 0.0661 0.2500
Cl 0.9741 0.6928 0.4542

(6)
Diffraction record for ErPu2Cd6. The powder XRD pattern is computed, not measured: it uses a DFT-relaxed cell (PBE, Alexandria) and Cu Kα X-rays.

Peak list (6 most intense, 10° ≤ 2θ ≤ 90°, low angle first)
two_theta	I/Imax
20.2	16
34.4	100
35.3	87
50.1	35
62.7	35
68.7	24

Structural model:
Cell: 6.0307 6.0307 6.0307 Å, 93.89 93.89 93.89°
Positions (direct):
Er 0.0000 0.0000 0.0000
Pu 0.3425 0.3425 0.3425
Pu 0.6575 0.6575 0.6575
Cd 0.1642 0.5000 0.8358
Cd 0.1642 0.8358 0.5000
Cd 0.5000 0.1642 0.8358
Cd 0.5000 0.8358 0.1642
Cd 0.8358 0.1642 0.5000
Cd 0.8358 0.5000 0.1642

(7)
Diffraction record for Pm6Pd2Ru. The powder XRD pattern is computed, not measured: it uses a DFT-relaxed cell (PBE, Alexandria) and Cu Kα X-rays.

Peak list (6 most intense, 10° ≤ 2θ ≤ 90°, low angle first)
two_theta	I/Imax
28.4	63
28.7	53
29.3	100
29.6	83
30.3	91
38.3	54

Structural model:
Cell: 6.6669 7.5414 12.1153 Å, 90.00 121.45 90.00°
Positions (direct):
Pm 0.0941 0.1808 0.4322
Pm 0.0941 0.3192 0.9322
Pm 0.2605 0.6780 0.4310
Pm 0.2605 0.8220 0.9310
Pm 0.4010 0.0400 0.2495
Pm 0.4010 0.4600 0.7495
Pm 0.5990 0.5400 0.2505
Pm 0.5990 0.9600 0.7505
Pm 0.7395 0.1780 0.0690
Pm 0.7395 0.3220 0.5690
Pm 0.9059 0.6808 0.0678
Pm 0.9059 0.8192 0.5678
Pd 0.1782 0.1164 0.7406
Pd 0.1782 0.3836 0.2406
Pd 0.8218 0.6164 0.7594
Pd 0.8218 0.8836 0.2594
Ru 0.5000 0.0000 0.5000
Ru 0.5000 0.5000 0.0000

Copy entry 1 word for word.
Diffraction record for Pm2Y4Th. The powder XRD pattern is computed, not measured: it uses a DFT-relaxed cell (PBE, Alexandria) and Cu Kα X-rays.

Peak list (6 most intense, 10° ≤ 2θ ≤ 90°, low angle first)
two_theta	I/Imax
29.3	70
29.7	92
31.0	73
34.3	100
51.0	62
60.1	69

Structural model:
Cell: 21.1583 21.1583 21.1583 Å, 9.71 9.71 9.71°
Positions (direct):
Pm 0.2351 0.2351 0.2351
Pm 0.7649 0.7649 0.7649
Y 0.1435 0.1435 0.1435
Y 0.2895 0.2895 0.2895
Y 0.7105 0.7105 0.7105
Y 0.8565 0.8565 0.8565
Th 0.0000 0.0000 0.0000